1.
Structure and theoretical PXRD pattern of PaCuAgBr6 (the PBE geometry in Alexandria; CuKα).
Lines closer than 0.1° are merged.

Most intense lines, 15 to 90 degrees two-theta, in order of rising 2θ:
| 2theta | d_spacing | I_rel |
| --- | --- | --- |
| 16.3 | 5.435 | 26 |
| 20.0 | 4.433 | 80 |
| 29.2 | 3.054 | 97 |
| 33.0 | 2.717 | 23 |
| 37.7 | 2.388 | 100 |
| 42.4 | 2.132 | 24 |
| 45.7 | 1.985 | 55 |
| 48.9 | 1.861 | 25 |
| 60.7 | 1.527 | 24 |
| 74.5 | 1.273 | 24 |

Crystal structure
Unit cell a=6.878 b=6.878 c=13.276 alpha=90.00 beta=90.00 gamma=120.00
Sites, in units of the cell vectors:
Pa (0.333, 0.667, 0.250)
Pa (0.667, 0.333, 0.750)
Cu (0.333, 0.667, 0.750)
Cu (0.667, 0.333, 0.250)
Ag (0.000, 0.000, 0.000)
Ag (0.000, 0.000, 0.500)
Br (0.012, 0.350, 0.629)
Br (0.012, 0.662, 0.871)
Br (0.338, 0.350, 0.871)
Br (0.338, 0.988, 0.629)
Br (0.350, 0.012, 0.129)
Br (0.350, 0.338, 0.371)
Br (0.650, 0.662, 0.629)
Br (0.650, 0.988, 0.871)
Br (0.662, 0.012, 0.371)
Br (0.662, 0.650, 0.129)
Br (0.988, 0.338, 0.129)
Br (0.988, 0.650, 0.371)

=====

2.
Structure and theoretical PXRD pattern of SrCu4Ag3Br12 (the PBE geometry in Alexandria; CuKα).
Lines closer than 0.1° are merged.

Most intense lines, 15 to 90 degrees two-theta, in order of rising 2θ:
| 2theta | d_spacing | I_rel |
| --- | --- | --- |
| 20.7 | 4.282 | 70 |
| 21.9 | 4.052 | 95 |
| 24.9 | 3.576 | 46 |
| 31.0 | 2.888 | 100 |
| 40.2 | 2.245 | 30 |
| 41.6 | 2.173 | 24 |
| 42.8 | 2.113 | 39 |
| 45.9 | 1.978 | 47 |
| 54.7 | 1.677 | 29 |
| 71.0 | 1.327 | 24 |

Crystal structure
Unit cell a=8.980 b=8.980 c=8.980 alpha=105.18 beta=105.18 gamma=105.18
Sites, in units of the cell vectors:
Sr (0.000, 0.000, 0.000)
Cu (0.077, 0.500, 0.923)
Cu (0.500, 0.500, 0.500)
Cu (0.500, 0.923, 0.077)
Cu (0.923, 0.077, 0.500)
Ag (0.000, 0.568, 0.432)
Ag (0.432, 0.000, 0.568)
Ag (0.568, 0.432, 0.000)
Br (0.020, 0.667, 0.774)
Br (0.089, 0.911, 0.500)
Br (0.226, 0.333, 0.980)
Br (0.333, 0.980, 0.226)
Br (0.337, 0.663, 0.500)
Br (0.500, 0.089, 0.911)
Br (0.500, 0.337, 0.663)
Br (0.663, 0.500, 0.337)
Br (0.667, 0.774, 0.020)
Br (0.774, 0.020, 0.667)
Br (0.911, 0.500, 0.089)
Br (0.980, 0.226, 0.333)

=====

3.
Structure and theoretical PXRD pattern of Tl3CuAg2Br6 (the PBE geometry in Alexandria; CuKα).
Lines closer than 0.1° are merged.

Most intense lines, 15 to 90 degrees two-theta, in order of rising 2θ:
| 2theta | d_spacing | I_rel |
| --- | --- | --- |
| 16.6 | 5.350 | 45 |
| 22.0 | 4.049 | 100 |
| 25.0 | 3.563 | 39 |
| 27.6 | 3.228 | 58 |
| 33.5 | 2.675 | 87 |
| 35.0 | 2.567 | 43 |
| 40.4 | 2.232 | 26 |
| 44.8 | 2.024 | 52 |
| 47.6 | 1.911 | 35 |
| 60.5 | 1.531 | 31 |

Crystal structure
Unit cell a=8.098 b=8.098 c=8.275 alpha=90.00 beta=90.00 gamma=120.00
Sites, in units of the cell vectors:
Tl (0.000, 0.000, 0.000)
Tl (0.333, 0.667, 0.592)
Tl (0.667, 0.333, 0.408)
Cu (0.000, 0.000, 0.500)
Ag (0.333, 0.667, 0.213)
Ag (0.667, 0.333, 0.787)
Br (0.154, 0.308, 0.306)
Br (0.154, 0.846, 0.306)
Br (0.308, 0.154, 0.694)
Br (0.692, 0.846, 0.306)
Br (0.846, 0.154, 0.694)
Br (0.846, 0.692, 0.694)